Entry 1:
This entry pairs a crystal structure of CoH4C2O6 with its calculated powder diffraction line list. Radiation: Cu Kα X-rays. Structure: a GGA+U-relaxed structure.

Cell and atoms:
Cell: 6.859 6.859 9.805 Å, 124.96 124.96 47.41°
Positions (direct):
Co: 0.081 0.919 0.750
Co: 0.919 0.081 0.250
H: 0.001 0.700 0.859
H: 0.140 0.370 0.352
H: 0.300 0.999 0.641
H: 0.370 0.140 0.852
H: 0.630 0.860 0.148
H: 0.700 0.001 0.359
H: 0.860 0.630 0.648
H: 0.999 0.300 0.141
C: 0.367 0.530 0.148
C: 0.470 0.633 0.352
C: 0.530 0.367 0.648
C: 0.633 0.470 0.852
O: 0.081 0.242 0.243
O: 0.125 0.697 0.073
O: 0.242 0.081 0.743
O: 0.286 0.532 0.571
O: 0.303 0.875 0.427
O: 0.468 0.714 0.929
O: 0.532 0.286 0.071
O: 0.697 0.125 0.573
O: 0.714 0.468 0.429
O: 0.758 0.919 0.257
O: 0.875 0.303 0.927
O: 0.919 0.758 0.757

Top 6 peaks for 2θ = 5–70°, in order of rising 2θ:
Position (°2θ)  d [Å]  Rel. int.
18.11  4.899  76
18.46  4.806  100
24.91  3.574  29
28.43  3.140  57
34.15  2.625  28
34.58  2.594  22

=====

Entry 2:
This entry pairs a crystal structure of CoH8C2O10 with its calculated powder diffraction line list. Radiation: Cu Kα X-rays. Structure: a GGA+U-relaxed structure.

Cell and atoms:
Cell: 6.459 6.031 11.986 Å, 90.00 114.47 90.00°
Positions (direct):
Co: 0.000 0.000 0.000
Co: 0.000 0.500 0.500
H: 0.171 0.147 0.860
H: 0.171 0.353 0.360
H: 0.212 0.190 0.483
H: 0.212 0.310 0.983
H: 0.285 0.684 0.069
H: 0.285 0.816 0.569
H: 0.422 0.589 0.615
H: 0.422 0.911 0.115
H: 0.578 0.089 0.885
H: 0.578 0.411 0.385
H: 0.715 0.184 0.431
H: 0.715 0.316 0.931
H: 0.788 0.690 0.017
H: 0.788 0.810 0.517
H: 0.829 0.647 0.640
H: 0.829 0.853 0.140
C: 0.254 0.156 0.675
C: 0.254 0.344 0.175
C: 0.746 0.656 0.825
C: 0.746 0.844 0.325
O: 0.095 0.210 0.913
O: 0.095 0.290 0.413
O: 0.110 0.175 0.143
O: 0.110 0.325 0.643
O: 0.284 0.653 0.546
O: 0.284 0.847 0.046
O: 0.311 0.084 0.784
O: 0.311 0.416 0.284
O: 0.327 0.071 0.599
O: 0.327 0.429 0.099
O: 0.673 0.571 0.901
O: 0.673 0.929 0.401
O: 0.689 0.584 0.716
O: 0.689 0.916 0.216
O: 0.716 0.153 0.954
O: 0.716 0.347 0.454
O: 0.890 0.675 0.357
O: 0.890 0.825 0.857
O: 0.905 0.710 0.587
O: 0.905 0.790 0.087

Top 6 peaks for 2θ = 5–70°, in order of rising 2θ:
Position (°2θ)  d [Å]  Rel. int.
15.07  5.879  47
16.25  5.455  32
16.80  5.278  65
16.99  5.219  100
24.83  3.586  72
31.73  2.820  29

=====

Entry 3:
This entry pairs a crystal structure of Co2H2CO5 with its calculated powder diffraction line list. Radiation: Cu Kα X-rays. Structure: a GGA+U-relaxed structure.

Cell and atoms:
Cell: 3.195 12.306 9.673 Å, 90.00 93.05 90.00°
Positions (direct):
Co: 0.009 0.113 0.285
Co: 0.009 0.387 0.785
Co: 0.318 0.214 0.017
Co: 0.318 0.286 0.517
Co: 0.682 0.714 0.483
Co: 0.682 0.786 0.983
Co: 0.991 0.613 0.215
Co: 0.991 0.887 0.715
H: 0.434 0.601 0.999
H: 0.434 0.899 0.499
H: 0.468 0.019 0.108
H: 0.468 0.481 0.608
H: 0.532 0.519 0.392
H: 0.532 0.981 0.892
H: 0.566 0.101 0.501
H: 0.566 0.399 0.001
C: 0.004 0.132 0.741
C: 0.004 0.368 0.241
C: 0.996 0.632 0.759
C: 0.996 0.868 0.259
O: 0.001 0.120 0.875
O: 0.001 0.380 0.375
O: 0.022 0.551 0.842
O: 0.022 0.949 0.342
O: 0.027 0.231 0.690
O: 0.027 0.269 0.190
O: 0.483 0.654 0.075
O: 0.483 0.846 0.575
O: 0.485 0.093 0.144
O: 0.485 0.407 0.644
O: 0.515 0.593 0.356
O: 0.515 0.907 0.856
O: 0.517 0.154 0.425
O: 0.517 0.346 0.925
O: 0.973 0.731 0.810
O: 0.973 0.769 0.310
O: 0.978 0.051 0.658
O: 0.978 0.449 0.158
O: 0.999 0.620 0.625
O: 0.999 0.880 0.125

Top 6 peaks for 2θ = 5–70°, in order of rising 2θ:
Position (°2θ)  d [Å]  Rel. int.
14.40  6.153  60
17.09  5.190  78
23.42  3.799  64
34.53  2.597  100
41.13  2.195  44
41.47  2.177  56

=====

Entry 4:
This entry pairs a crystal structure of CoH6C2O6 with its calculated powder diffraction line list. Radiation: Cu Kα X-rays. Structure: a GGA+U-relaxed structure.

Cell and atoms:
Cell: 8.762 7.244 9.315 Å, 90.00 97.25 90.00°
Positions (direct):
Co: 0.000 0.000 0.000
Co: 0.000 0.500 0.500
Co: 0.500 0.000 0.500
Co: 0.500 0.500 0.000
H: 0.033 0.155 0.277
H: 0.033 0.345 0.777
H: 0.172 0.021 0.609
H: 0.172 0.479 0.109
H: 0.199 0.094 0.236
H: 0.199 0.406 0.736
H: 0.265 0.602 0.451
H: 0.265 0.898 0.951
H: 0.286 0.113 0.987
H: 0.286 0.387 0.487
H: 0.432 0.712 0.727
H: 0.432 0.788 0.227
H: 0.568 0.212 0.773
H: 0.568 0.288 0.273
H: 0.714 0.613 0.513
H: 0.714 0.887 0.013
H: 0.735 0.102 0.049
H: 0.735 0.398 0.549
H: 0.801 0.594 0.264
H: 0.801 0.906 0.764
H: 0.828 0.521 0.891
H: 0.828 0.979 0.391
H: 0.967 0.655 0.223
H: 0.967 0.845 0.723
C: 0.175 0.620 0.064
C: 0.175 0.880 0.564
C: 0.461 0.222 0.223
C: 0.461 0.278 0.723
C: 0.539 0.722 0.277
C: 0.539 0.778 0.777
C: 0.825 0.120 0.436
C: 0.825 0.380 0.936
O: 0.063 0.726 0.081
O: 0.063 0.774 0.581
O: 0.089 0.109 0.197
O: 0.089 0.391 0.697
O: 0.220 0.022 0.929
O: 0.220 0.478 0.429
O: 0.291 0.664 0.000
O: 0.291 0.836 0.500
O: 0.399 0.100 0.295
O: 0.399 0.400 0.795
O: 0.406 0.227 0.596
O: 0.406 0.273 0.096
O: 0.594 0.727 0.904
O: 0.594 0.773 0.404
O: 0.601 0.600 0.205
O: 0.601 0.900 0.705
O: 0.709 0.164 0.500
O: 0.709 0.336 0.000
O: 0.780 0.522 0.571
O: 0.780 0.978 0.071
O: 0.911 0.609 0.303
O: 0.911 0.891 0.803
O: 0.937 0.226 0.419
O: 0.937 0.274 0.919

Top 6 peaks for 2θ = 5–70°, in order of rising 2θ:
Position (°2θ)  d [Å]  Rel. int.
17.93  4.947  91
19.25  4.611  100
20.43  4.346  25
26.04  3.421  21
33.59  2.668  25
34.40  2.607  31

=====

Entry 5:
This entry pairs a crystal structure of CoH8C2O8 with its calculated powder diffraction line list. Radiation: Cu Kα X-rays. Structure: a GGA+U-relaxed structure.

Cell and atoms:
Cell: 6.262 8.748 11.123 Å, 71.16 84.10 71.70°
Positions (direct):
Co: 0.000 0.000 0.000
Co: 0.015 0.352 0.320
Co: 0.985 0.648 0.680
H: 0.218 0.539 0.135
H: 0.289 0.833 0.604
H: 0.296 0.777 0.289
H: 0.297 0.401 0.929
H: 0.298 0.044 0.809
H: 0.301 0.102 0.596
H: 0.308 0.529 0.265
H: 0.308 0.719 0.510
H: 0.330 0.140 0.910
H: 0.473 0.361 0.659
H: 0.474 0.730 0.006
H: 0.481 0.043 0.336
H: 0.519 0.957 0.664
H: 0.526 0.270 0.994
H: 0.527 0.639 0.341
H: 0.670 0.860 0.090
H: 0.692 0.281 0.490
H: 0.692 0.471 0.735
H: 0.699 0.898 0.404
H: 0.702 0.956 0.191
H: 0.703 0.599 0.071
H: 0.704 0.223 0.711
H: 0.711 0.167 0.396
H: 0.782 0.461 0.865
C: 0.066 0.732 0.890
C: 0.094 0.424 0.538
C: 0.104 0.111 0.197
C: 0.896 0.889 0.803
C: 0.906 0.576 0.462
C: 0.934 0.268 0.110
O: 0.121 0.600 0.857
O: 0.137 0.747 0.988
O: 0.156 0.433 0.641
O: 0.159 0.974 0.170
O: 0.174 0.301 0.494
O: 0.177 0.130 0.292
O: 0.249 0.739 0.591
O: 0.266 0.461 0.220
O: 0.267 0.056 0.895
O: 0.354 0.988 0.660
O: 0.363 0.665 0.352
O: 0.377 0.279 0.968
O: 0.623 0.721 0.032
O: 0.637 0.335 0.648
O: 0.646 0.012 0.340
O: 0.733 0.944 0.105
O: 0.734 0.539 0.780
O: 0.751 0.261 0.409
O: 0.823 0.870 0.708
O: 0.826 0.699 0.506
O: 0.841 0.026 0.830
O: 0.844 0.567 0.359
O: 0.863 0.253 0.012
O: 0.879 0.400 0.143

Top 6 peaks for 2θ = 5–70°, in order of rising 2θ:
Position (°2θ)  d [Å]  Rel. int.
14.90  5.945  100
15.96  5.553  87
19.46  4.560  60
24.11  3.692  34
29.55  3.023  21
31.02  2.883  49